(1)
Diffraction record for BaUS3. The powder diffractogram is simulated, not measured: it uses a crystal structure in the Materials Project, relaxed with PBE and a wavelength of 1.5418 Å.
Peak positions follow from Bragg's law for the DFT cell and can differ from measured ones.

Crystal structure
```
data_BaUS3
_symmetry_space_group_name_H-M 'P n m a'
_symmetry_Int_Tables_number 62
_cell_length_a 7.493
_cell_length_b 10.396
_cell_length_c 7.262
_cell_angle_alpha 90.00
_cell_angle_beta 90.00
_cell_angle_gamma 90.00
loop_
_symmetry_equiv_pos_as_xyz
'x,y,z'
'-x,-y,-z'
'-x+1/2,-y,z+1/2'
'x+1/2,y,-z+1/2'
'x+1/2,-y+1/2,-z+1/2'
'-x+1/2,y+1/2,z+1/2'
'-x,y+1/2,-z'
'x,-y+1/2,z'
loop_
_atom_site_label
_atom_site_type_symbol
_atom_site_fract_x
_atom_site_fract_y
_atom_site_fract_z
_atom_site_occupancy
Ba1 Ba 0.057 0.250 0.015 1
U1 U 0.000 0.000 0.500 1
S1 S 0.021 0.750 0.418 1
S2 S 0.207 0.544 0.793 1
```

Principal peaks in the range 10 to 90 degrees two-theta, low angle first:
| (hkl) | 2θ/deg | I/Imax |
| --- | --- | --- |
| 1 0 1 | 17.0 | 26 |
| 2 0 0 | 23.7 | 24 |
| 1 2 1 | 24.2 | 100 |
| 0 0 2 | 24.5 | 24 |
| 2 0 2 | 34.4 | 31 |
| 0 4 0 | 34.5 | 18 |
| 3 2 1 | 42.0 | 18 |
| 0 4 2 | 42.8 | 14 |
| 1 2 3 | 42.9 | 28 |
| 2 4 2 | 49.5 | 21 |

(2)
Diffraction record for Sc. The powder diffractogram is simulated, not measured: it uses a crystal structure in the Materials Project, relaxed with PBE and a wavelength of 1.5418 Å.
Peak positions follow from Bragg's law for the DFT cell and can differ from measured ones.

Crystal structure
```
data_Sc
_symmetry_space_group_name_H-M 'P 4/n m m'
_symmetry_Int_Tables_number 129
_cell_length_a 5.423
_cell_length_b 5.423
_cell_length_c 3.435
_cell_angle_alpha 90.00
_cell_angle_beta 90.00
_cell_angle_gamma 90.00
loop_
_symmetry_equiv_pos_as_xyz
'x,y,z'
'-x,-y,-z'
'-y+1/2,x,z'
'y+1/2,-x,-z'
'-x+1/2,-y+1/2,z'
'x+1/2,y+1/2,-z'
'y,-x+1/2,z'
'-y,x+1/2,-z'
'x+1/2,-y,-z'
'-x+1/2,y,z'
'-y,-x,-z'
'y,x,z'
'-x,y+1/2,-z'
'x,-y+1/2,z'
'y+1/2,x+1/2,-z'
'-y+1/2,-x+1/2,z'
loop_
_atom_site_label
_atom_site_type_symbol
_atom_site_fract_x
_atom_site_fract_y
_atom_site_fract_z
_atom_site_occupancy
Sc1 Sc 0.250 0.250 0.033 1
Sc2 Sc 0.250 0.750 0.500 1
```

Principal peaks in the range 10 to 90 degrees two-theta, low angle first:
| (hkl) | 2θ/deg | I/Imax |
| --- | --- | --- |
| 2 0 0 | 33.0 | 61 |
| 1 1 1 | 35.1 | 100 |
| 2 2 0 | 47.4 | 20 |
| 0 0 2 | 53.3 | 6 |
| 3 1 1 | 60.3 | 36 |
| 2 0 2 | 64.2 | 14 |
| 4 0 0 | 69.3 | 6 |
| 2 2 2 | 74.1 | 9 |
| 4 2 0 | 79.0 | 8 |
| 3 3 1 | 80.1 | 7 |

(3)
Diffraction record for Mg5Si9. The powder diffractogram is simulated, not measured: it uses a crystal structure in the Materials Project, relaxed with PBE and a wavelength of 1.5418 Å.
Peak positions follow from Bragg's law for the DFT cell and can differ from measured ones.

Crystal structure
```
data_Mg5Si9
_symmetry_space_group_name_H-M 'P 1'
_symmetry_Int_Tables_number 1
_cell_length_a 5.785
_cell_length_b 7.207
_cell_length_c 13.121
_cell_angle_alpha 79.07
_cell_angle_beta 87.09
_cell_angle_gamma 68.77
loop_
_symmetry_equiv_pos_as_xyz
'x,y,z'
loop_
_atom_site_label
_atom_site_type_symbol
_atom_site_fract_x
_atom_site_fract_y
_atom_site_fract_z
_atom_site_occupancy
Mg1 Mg 0.000 0.000 0.000 1
Mg2 Mg 0.002 0.845 0.540 1
Mg3 Mg 0.087 0.290 0.804 1
Mg4 Mg 0.094 0.253 0.170 1
Mg5 Mg 0.383 0.564 0.711 1
Mg6 Mg 0.506 0.861 0.512 1
Mg7 Mg 0.589 0.139 0.643 1
Mg8 Mg 0.673 0.520 0.284 1
Mg9 Mg 0.736 0.694 0.039 1
Mg10 Mg 0.960 0.414 0.551 1
Si1 Si 0.072 0.177 0.388 1
Si2 Si 0.176 0.017 0.669 1
Si3 Si 0.199 0.549 0.945 1
Si4 Si 0.208 0.460 0.342 1
Si5 Si 0.221 0.592 0.136 1
Si6 Si 0.242 0.841 0.345 1
Si7 Si 0.351 0.868 0.164 1
Si8 Si 0.385 0.138 0.988 1
Si9 Si 0.414 0.509 0.497 1
Si10 Si 0.440 0.849 0.842 1
Si11 Si 0.597 0.310 0.105 1
Si12 Si 0.624 0.182 0.838 1
Si13 Si 0.645 0.196 0.426 1
Si14 Si 0.660 0.454 0.920 1
Si15 Si 0.720 0.950 0.175 1
Si16 Si 0.798 0.681 0.714 1
Si17 Si 0.850 0.795 0.351 1
Si18 Si 0.966 0.862 0.814 1
```

Principal peaks in the range 10 to 90 degrees two-theta, low angle first:
| (hkl) | 2θ/deg | I/Imax |
| --- | --- | --- |
| 2 1 -2 | 34.8 | 50 |
| 0 2 4 | 35.2 | 65 |
| 0 2 -3 | 37.3 | 78 |
| 2 2 3 | 38.2 | 100 |
| 1 0 5 | 39.1 | 61 |
| 0 1 -5 | 39.8 | 49 |
| 2 -1 0 | 40.4 | 62 |
| 0 3 2 | 40.8 | 72 |
| 2 2 4 | 41.8 | 96 |
| 0 0 6 | 42.1 | 56 |

(4)
Diffraction record for CuF2. The powder diffractogram is simulated, not measured: it uses a crystal structure in the Materials Project, relaxed with PBE and a wavelength of 1.5418 Å.
Peak positions follow from Bragg's law for the DFT cell and can differ from measured ones.

Crystal structure
```
data_CuF2
_symmetry_space_group_name_H-M 'P 1 21/c 1'
_symmetry_Int_Tables_number 14
_cell_length_a 3.300
_cell_length_b 4.613
_cell_length_c 5.423
_cell_angle_alpha 90.00
_cell_angle_beta 120.77
_cell_angle_gamma 90.00
loop_
_symmetry_equiv_pos_as_xyz
'x,y,z'
'-x,-y,-z'
'-x,y+1/2,-z+1/2'
'x,-y+1/2,z+1/2'
loop_
_atom_site_label
_atom_site_type_symbol
_atom_site_fract_x
_atom_site_fract_y
_atom_site_fract_z
_atom_site_occupancy
Cu1 Cu 0.000 0.000 0.000 1
F1 F 0.269 0.200 0.796 1
```

Principal peaks in the range 10 to 90 degrees two-theta, low angle first:
| (hkl) | 2θ/deg | I/Imax |
| --- | --- | --- |
| 0 1 1 | 27.2 | 100 |
| 1 0 0 | 31.6 | 27 |
| 1 1 -1 | 33.5 | 36 |
| 1 0 -2 | 35.2 | 13 |
| 1 1 1 | 49.5 | 22 |
| 1 2 0 | 51.0 | 16 |
| 1 2 -2 | 53.6 | 18 |
| 1 1 -3 | 54.6 | 15 |
| 2 0 -2 | 56.1 | 32 |
| 1 3 -1 | 67.2 | 11 |

(5)
Diffraction record for Lu3Si. The powder diffractogram is simulated, not measured: it uses a crystal structure in the Materials Project, relaxed with PBE and a wavelength of 1.5418 Å.
Peak positions follow from Bragg's law for the DFT cell and can differ from measured ones.

Crystal structure
```
data_Lu3Si
_symmetry_space_group_name_H-M 'P m -3 m'
_symmetry_Int_Tables_number 221
_symmetry_space_group_name_Hall '-P 4 2 3'
_cell_length_a 4.541
_cell_length_b 4.541
_cell_length_c 4.541
_cell_angle_alpha 90.00
_cell_angle_beta 90.00
_cell_angle_gamma 90.00
loop_
_atom_site_label
_atom_site_type_symbol
_atom_site_fract_x
_atom_site_fract_y
_atom_site_fract_z
_atom_site_occupancy
Lu1 Lu 0.000 0.000 0.500 1
Si1 Si 0.500 0.500 0.500 1
```

Principal peaks in the range 10 to 90 degrees two-theta, low angle first:
| (hkl) | 2θ/deg | I/Imax |
| --- | --- | --- |
| 1 0 0 | 19.5 | 20 |
| 1 1 0 | 27.8 | 18 |
| 1 1 1 | 34.2 | 100 |
| 2 0 0 | 39.7 | 50 |
| 2 1 0 | 44.6 | 10 |
| 2 1 1 | 49.1 | 8 |
| 2 2 0 | 57.4 | 34 |
| 3 1 1 | 68.5 | 40 |
| 2 2 2 | 72.0 | 12 |
| 4 0 0 | 85.5 | 6 |

(6)
Diffraction record for Br. The powder diffractogram is simulated, not measured: it uses a crystal structure in the Materials Project, relaxed with PBE and a wavelength of 1.5418 Å.
Peak positions follow from Bragg's law for the DFT cell and can differ from measured ones.

Crystal structure
```
data_Br
_symmetry_space_group_name_H-M 'F d d d'
_symmetry_Int_Tables_number 70
_cell_length_a 14.094
_cell_length_b 23.107
_cell_length_c 32.025
_cell_angle_alpha 90.00
_cell_angle_beta 90.00
_cell_angle_gamma 90.00
loop_
_symmetry_equiv_pos_as_xyz
'x,y,z'
'-x,-y,-z'
'-x+1/4,-y+1/4,z'
'x+1/4,y+1/4,-z'
'x,-y+1/4,-z+1/4'
'-x,y+1/4,z+1/4'
'-x+1/4,y,-z+1/4'
'x+1/4,-y,z+1/4'
'x,y+1/2,z+1/2'
'-x,-y+1/2,-z+1/2'
'-x+1/4,-y+3/4,z+1/2'
'x+1/4,y+3/4,-z+1/2'
'x,-y+3/4,-z+3/4'
'-x,y+3/4,z+3/4'
'-x+1/4,y+1/2,-z+3/4'
'x+1/4,-y+1/2,z+3/4'
'x+1/2,y,z+1/2'
'-x+1/2,-y,-z+1/2'
'-x+3/4,-y+1/4,z+1/2'
'x+3/4,y+1/4,-z+1/2'
'x+1/2,-y+1/4,-z+3/4'
'-x+1/2,y+1/4,z+3/4'
'-x+3/4,y,-z+3/4'
'x+3/4,-y,z+3/4'
'x+1/2,y+1/2,z'
'-x+1/2,-y+1/2,-z'
'-x+3/4,-y+3/4,z'
'x+3/4,y+3/4,-z'
'x+1/2,-y+3/4,-z+1/4'
'-x+1/2,y+3/4,z+1/4'
'-x+3/4,y+1/2,-z+1/4'
'x+3/4,-y+1/2,z+1/4'
loop_
_atom_site_label
_atom_site_type_symbol
_atom_site_fract_x
_atom_site_fract_y
_atom_site_fract_z
_atom_site_occupancy
Br1 Br 0.006 0.295 0.428 1
Br2 Br 0.051 0.000 0.237 1
Br3 Br 0.077 0.085 0.889 1
Br4 Br 0.090 0.080 0.692 1
```

Principal peaks in the range 10 to 90 degrees two-theta, low angle first:
| (hkl) | 2θ/deg | I/Imax |
| --- | --- | --- |
| 2 2 0 | 14.7 | 59 |
| 1 3 3 | 15.5 | 23 |
| 2 2 2 | 15.7 | 100 |
| 0 2 6 | 18.3 | 47 |
| 0 4 4 | 18.9 | 26 |
| 1 3 5 | 19.1 | 34 |
| 2 0 6 | 20.9 | 37 |
| 3 1 3 | 21.0 | 36 |
| 2 4 4 | 22.8 | 41 |
| 3 7 1 | 33.3 | 25 |